SrSmEuVO6: computed XRD peak list (Cu Kα (weighted mean of Kα1 and Kα2)), based on a structure optimized by DFT (PBE+U).
Peak positions follow from Bragg's law for the DFT cell and can differ from measured ones.

Largest 10 diffraction maxima, by angle, 2θ = 5–70°:
| hkl | Position (°2θ) | I (rel.) |
| --- | --- | --- |
| 1 1 1 | 18.50 | 14 |
| 2 2 0 | 30.44 | 100 |
| 3 1 1 | 35.85 | 11 |
| 2 2 2 | 37.50 | 4 |
| 4 0 0 | 43.58 | 31 |
| 3 3 1 | 47.72 | 6 |
| 4 2 2 | 54.08 | 39 |
| 3 3 3 | 57.66 | 3 |
| 4 4 0 | 63.33 | 19 |
| 5 3 1 | 66.60 | 3 |

Unit cell a=8.307 b=8.307 c=8.307 alpha=90.00 beta=90.00 gamma=90.00
Space group F-43m (No. 216)
Asymmetric unit:
Sr  0.000  0.000  0.000 (multiplicity 4)
Sm  0.250  0.250  0.750 (multiplicity 4)
Eu  0.000  0.000  0.500 (multiplicity 4)
V  0.250  0.250  0.250 (multiplicity 4)
O  0.021  0.250  0.250 (multiplicity 24)